Computed PXRD pattern of PmU3Tl2O12 for Cu Kα, 1.54184 Å, from the GGA-PBE geometry in Alexandria.

Atomic structure:
a b c (Å): 8.063 8.063 8.063
angles (deg): 60.89 60.89 60.89
Atoms (fractional coordinates):
Pm: 0.000 0.000 0.000
U: 0.000 0.000 0.500
U: 0.000 0.500 0.000
U: 0.500 0.000 0.000
Tl: 0.317 0.317 0.317
Tl: 0.683 0.683 0.683
O: 0.051 0.696 0.696
O: 0.069 0.069 0.658
O: 0.069 0.658 0.069
O: 0.304 0.304 0.949
O: 0.304 0.949 0.304
O: 0.342 0.931 0.931
O: 0.658 0.069 0.069
O: 0.696 0.051 0.696
O: 0.696 0.696 0.051
O: 0.931 0.342 0.931
O: 0.931 0.931 0.342
O: 0.949 0.304 0.304

Main lines, most intense first (2θ = 5–70°):
2θ/deg  intensity
25.7  100
25.6  46
15.4  37
44.3  35
40.7  33
27.3  33
52.8  32
13.3  29
34.1  26
26.8  26
31.2  22
47.3  19